KDyH2S2O9: simulated powder XRD pattern (Cu Kα (λ = 1.5418 Å)), based on a structure optimized by DFT (GGA-PBE).
Intensities are scaled so that the largest is 100.

The 12 most intense peaks (10° ≤ 2θ ≤ 80°), in order of falling intensity:
| (hkl) | 2theta | intensity |
| --- | --- | --- |
| 0 1 1 | 14.2 | 100 |
| 1 1 0 | 14.4 | 88 |
| 3 1 -2 | 28.7 | 74 |
| 1 2 1 | 27.0 | 70 |
| 1 1 2 | 28.0 | 52 |
| 2 0 -2 | 19.9 | 50 |
| 0 3 1 | 32.9 | 29 |
| 1 2 -1 | 23.0 | 27 |
| 2 1 -3 | 28.2 | 24 |
| 0 2 0 | 20.8 | 21 |
| 0 0 2 | 19.5 | 19 |
| 2 3 -3 | 41.3 | 17 |

Atomic structure:
Lattice parameters (Å, degrees): 10.1959 8.5573 10.4570 90.00 119.39 90.00
Fractional coordinates of all 60 atoms:
K: 0.2134 0.1983 0.2038
K: 0.2134 0.3017 0.7038
K: 0.7866 0.6983 0.2962
K: 0.7866 0.8017 0.7962
Dy: 0.2520 0.6455 0.0288
Dy: 0.2520 0.8545 0.5288
Dy: 0.7480 0.1455 0.4712
Dy: 0.7480 0.3545 0.9712
H: 0.3021 0.5107 0.4726
H: 0.3021 0.9893 0.9726
H: 0.4095 0.5532 0.6342
H: 0.4095 0.9468 0.1342
H: 0.5905 0.0532 0.8658
H: 0.5905 0.4468 0.3658
H: 0.6979 0.0107 0.0274
H: 0.6979 0.4893 0.5274
S: 0.0523 0.6401 0.1726
S: 0.0523 0.8599 0.6726
S: 0.4913 0.2070 0.6059
S: 0.4913 0.2930 0.1059
S: 0.5087 0.7070 0.8941
S: 0.5087 0.7930 0.3941
S: 0.9477 0.1401 0.3274
S: 0.9477 0.3599 0.8274
O: 0.0476 0.7461 0.0559
O: 0.0476 0.7539 0.5559
O: 0.0754 0.7305 0.3025
O: 0.0754 0.7695 0.8025
O: 0.0937 0.0561 0.3842
O: 0.0937 0.4439 0.8842
O: 0.1789 0.5299 0.2075
O: 0.1789 0.9701 0.7075
O: 0.3087 0.5762 0.5529
O: 0.3087 0.9238 0.0529
O: 0.3755 0.6347 0.8949
O: 0.3755 0.8653 0.3949
O: 0.3966 0.0818 0.6184
O: 0.3966 0.4182 0.1184
O: 0.4045 0.1973 0.9743
O: 0.4045 0.3027 0.4743
O: 0.4544 0.6956 0.2585
O: 0.4544 0.8044 0.7585
O: 0.5456 0.1956 0.2415
O: 0.5456 0.3044 0.7415
O: 0.5955 0.6973 0.5257
O: 0.5955 0.8027 0.0257
O: 0.6034 0.5818 0.8816
O: 0.6034 0.9182 0.3816
O: 0.6245 0.1347 0.6051
O: 0.6245 0.3653 0.1051
O: 0.6913 0.0762 0.9471
O: 0.6913 0.4238 0.4471
O: 0.8211 0.0299 0.2925
O: 0.8211 0.4701 0.7925
O: 0.9063 0.5561 0.1158
O: 0.9063 0.9439 0.6158
O: 0.9246 0.2305 0.1975
O: 0.9246 0.2695 0.6975
O: 0.9524 0.2461 0.4441
O: 0.9524 0.2539 0.9441